Record 1
# Li7Mn2Co3O12
Simulated X-ray powder pattern, Cu Kα (λ = 1.5418 Å). Input: a GGA+U-relaxed structure.
Lines closer than 0.1° are merged.

Atomic structure:
Cell lengths 5.0821, 5.8740, 7.7113 Å; angles 102.16, 96.40, 105.70 degrees
Atoms (fractional coordinates):
Li  0.0000  0.0000  0.0000
Li  0.0003  0.1721  0.6710
Li  0.0031  0.6611  0.6739
Li  0.4979  0.5829  0.8373
Li  0.9937  0.8320  0.3402
Li  0.9984  0.3342  0.3382
Li  0.9994  0.5057  0.9970
Mn  0.5004  0.0882  0.8375
Mn  0.5020  0.4232  0.1679
Co  0.4950  0.2594  0.5117
Co  0.4978  0.9170  0.1668
Co  0.4995  0.7466  0.5098
O  0.2604  0.4477  0.5777
O  0.2635  0.9650  0.6007
O  0.2676  0.6119  0.2598
O  0.2780  0.2914  0.9304
O  0.2819  0.8203  0.9287
O  0.2852  0.1377  0.2440
O  0.7102  0.0341  0.4079
O  0.7199  0.7045  0.1007
O  0.7225  0.8806  0.7449
O  0.7298  0.5320  0.4110
O  0.7313  0.3509  0.7529
O  0.7341  0.2257  0.0745

Main lines, most intense first (10 to 80 degrees two-theta):
2θ/deg, I/Imax
18.4, 100
44.1, 55
43.0, 30
36.3, 25
63.4, 15
63.2, 15
35.5, 15
58.1, 9
11.9, 8
64.6, 7
63.6, 7
37.8, 7

Record 2
# Li4Mn3CoO8
Simulated X-ray powder pattern, Cu Kα (λ = 1.5418 Å). Input: a GGA+U-relaxed structure.
Lines closer than 0.1° are merged.

Atomic structure:
Cell lengths 5.4051, 5.6989, 5.4556 Å; angles 90.00, 115.22, 90.00 degrees
Atoms (fractional coordinates):
Li  0.0000  0.0000  0.0000
Li  0.0000  0.2469  0.5000
Li  0.0000  0.5000  0.0000
Li  0.0000  0.7531  0.5000
Mn  0.5000  0.2492  0.0000
Mn  0.5000  0.5000  0.5000
Mn  0.5000  0.7508  0.0000
Co  0.5000  0.0000  0.5000
O  0.2655  0.5000  0.7751
O  0.2697  0.2464  0.2763
O  0.2697  0.7536  0.2763
O  0.2722  0.0000  0.7680
O  0.7278  0.0000  0.2320
O  0.7303  0.2464  0.7237
O  0.7303  0.7536  0.7237
O  0.7345  0.5000  0.2249

Main lines, most intense first (10 to 80 degrees two-theta):
2θ/deg, I/Imax
18.1, 100
44.5, 48
39.3, 37
36.4, 28
33.0, 23
60.6, 16
61.1, 16
65.5, 13
46.4, 12
58.5, 9
37.1, 9
79.1, 7

Record 3
# Li4MnCo2O7
Simulated X-ray powder pattern, Cu Kα (λ = 1.5418 Å). Input: a GGA+U-relaxed structure.
Lines closer than 0.1° are merged.

Atomic structure:
Cell lengths 5.0363, 5.1560, 10.2155 Å; angles 99.17, 99.69, 99.98 degrees
Atoms (fractional coordinates):
Li  0.0000  0.0000  0.0000
Li  0.0000  0.0000  0.5000
Li  0.1438  0.2828  0.2947
Li  0.2814  0.5628  0.5660
Li  0.4283  0.8578  0.8548
Li  0.5717  0.1422  0.1452
Li  0.7186  0.4372  0.4340
Li  0.8562  0.7172  0.7053
Mn  0.1415  0.2815  0.7853
Mn  0.8585  0.7185  0.2147
Co  0.2882  0.5733  0.0742
Co  0.4323  0.8669  0.3649
Co  0.5677  0.1331  0.6351
Co  0.7118  0.4267  0.9258
O  0.0726  0.6503  0.3747
O  0.0795  0.6126  0.8956
O  0.1917  0.9104  0.1772
O  0.2302  0.9687  0.6886
O  0.3517  0.2288  0.9575
O  0.3730  0.2037  0.4647
O  0.4881  0.4850  0.7615
O  0.5119  0.5150  0.2385
O  0.6270  0.7963  0.5353
O  0.6483  0.7712  0.0425
O  0.7698  0.0313  0.3114
O  0.8083  0.0896  0.8228
O  0.9205  0.3874  0.1044
O  0.9274  0.3497  0.6253

Main lines, most intense first (10 to 80 degrees two-theta):
2θ/deg, I/Imax
18.3, 100
42.9, 28
43.6, 27
43.9, 26
35.5, 15
62.8, 15
35.9, 13
36.3, 12
47.6, 8
37.4, 8
63.5, 8
62.9, 7

Record 4
# Li7Mn4CoO12
Simulated X-ray powder pattern, Cu Kα (λ = 1.5418 Å). Input: a GGA+U-relaxed structure.
Lines closer than 0.1° are merged.

Atomic structure:
Cell lengths 5.9342, 6.4204, 11.9123 Å; angles 102.98, 93.15, 103.03 degrees
Atoms (fractional coordinates):
Li  0.0000  0.0000  0.0000
Li  0.0000  0.0000  0.5000
Li  0.0006  0.9999  0.2506
Li  0.3317  0.3188  0.6660
Li  0.3334  0.3186  0.1662
Li  0.3466  0.3208  0.9053
Li  0.3482  0.3209  0.4053
Li  0.4992  0.0003  0.7501
Li  0.5008  0.9997  0.2499
Li  0.6518  0.6791  0.5947
Li  0.6534  0.6792  0.0947
Li  0.6666  0.6814  0.8338
Li  0.6683  0.6812  0.3340
Li  0.9994  0.0001  0.7494
Mn  0.1731  0.6738  0.5840
Mn  0.1736  0.6739  0.0840
Mn  0.1766  0.6723  0.8313
Mn  0.1778  0.6720  0.3311
Mn  0.8222  0.3280  0.6689
Mn  0.8234  0.3277  0.1687
Mn  0.8264  0.3261  0.9160
Mn  0.8269  0.3262  0.4160
Co  0.5000  0.0000  0.0000
Co  0.5000  0.0000  0.5000
O  0.0500  0.3472  0.5512
O  0.0505  0.3472  0.0509
O  0.0795  0.3434  0.7843
O  0.0808  0.3430  0.2843
O  0.2553  0.9837  0.3781
O  0.2547  0.9840  0.8782
O  0.2670  0.9842  0.6113
O  0.2678  0.9840  0.1114
O  0.3848  0.6664  0.7129
O  0.3860  0.6661  0.2128
O  0.4175  0.6758  0.4485
O  0.4165  0.6759  0.9483
O  0.5835  0.3241  0.0517
O  0.5825  0.3242  0.5515
O  0.6140  0.3339  0.7872
O  0.6152  0.3336  0.2871
O  0.7322  0.0160  0.8886
O  0.7330  0.0158  0.3887
O  0.7453  0.0160  0.1218
O  0.7447  0.0163  0.6219
O  0.9192  0.6570  0.7157
O  0.9205  0.6566  0.2157
O  0.9495  0.6528  0.9491
O  0.9500  0.6528  0.4488

Main lines, most intense first (10 to 80 degrees two-theta):
2θ/deg, I/Imax
18.5, 100
41.8, 30
44.3, 26
44.8, 25
63.0, 14
34.8, 13
36.7, 12
36.4, 12
65.2, 8
62.5, 7
47.5, 7
62.7, 7

Record 5
# Li5Mn2CoO8
Simulated X-ray powder pattern, Cu Kα (λ = 1.5418 Å). Input: a GGA+U-relaxed structure.
Lines closer than 0.1° are merged.

Atomic structure:
Cell lengths 2.8886, 9.7657, 10.1004 Å; angles 79.30, 89.52, 89.39 degrees
Atoms (fractional coordinates):
Li  0.0000  0.0000  0.0000
Li  0.0029  0.7549  0.3750
Li  0.0065  0.7461  0.8904
Li  0.4910  0.7540  0.1104
Li  0.4961  0.2514  0.3751
Li  0.5000  0.5000  0.0000
Li  0.5039  0.7486  0.6249
Li  0.5090  0.2460  0.8896
Li  0.9935  0.2539  0.1096
Li  0.9971  0.2451  0.6250
Mn  0.0065  0.4935  0.7603
Mn  0.4984  0.9945  0.7553
Mn  0.5016  0.0055  0.2447
Mn  0.9935  0.5065  0.2397
Co  0.0000  0.0000  0.5000
Co  0.5000  0.5000  0.5000
O  0.0026  0.8907  0.6813
O  0.0041  0.3791  0.9233
O  0.0066  0.8922  0.1994
O  0.0219  0.6128  0.5650
O  0.4892  0.6137  0.3088
O  0.4951  0.1070  0.5617
O  0.4977  0.3919  0.1968
O  0.4994  0.1206  0.0811
O  0.5006  0.8794  0.9189
O  0.5023  0.6081  0.8032
O  0.5049  0.8930  0.4383
O  0.5108  0.3863  0.6912
O  0.9781  0.3872  0.4350
O  0.9934  0.1078  0.8006
O  0.9959  0.6209  0.0767
O  0.9974  0.1093  0.3187

Main lines, most intense first (10 to 80 degrees two-theta):
2θ/deg, I/Imax
18.5, 100
44.1, 61
43.6, 32
63.7, 16
19.0, 13
36.2, 12
36.2, 12
36.5, 12
17.9, 9
64.5, 8
63.0, 8
64.3, 8

Record 6
# Li7Mn4CoO12
Simulated X-ray powder pattern, Cu Kα (λ = 1.5418 Å). Input: a GGA+U-relaxed structure.
Lines closer than 0.1° are merged.

Atomic structure:
Cell lengths 5.0849, 8.6472, 10.3299 Å; angles 90.28, 97.86, 106.51 degrees
Atoms (fractional coordinates):
Li  0.0000  0.0000  0.0000
Li  0.0014  0.3322  0.9910
Li  0.0035  0.0020  0.5070
Li  0.0110  0.3320  0.4996
Li  0.0139  0.6740  0.5002
Li  0.0155  0.1635  0.7610
Li  0.0175  0.5015  0.2523
Li  0.0181  0.6708  0.9993
Li  0.0206  0.8438  0.7480
Li  0.0231  0.5007  0.7562
Li  0.0249  0.1685  0.2550
Li  0.0391  0.8422  0.2512
Li  0.5141  0.9222  0.6272
Li  0.5176  0.9195  0.1249
Mn  0.5086  0.7531  0.8725
Mn  0.5125  0.0849  0.8766
Mn  0.5129  0.2498  0.6262
Mn  0.5142  0.5904  0.6244
Mn  0.5158  0.0869  0.3770
Mn  0.5164  0.2496  0.1271
Mn  0.5195  0.5885  0.1272
Mn  0.5233  0.7563  0.3781
Co  0.5111  0.4177  0.8758
Co  0.5204  0.4205  0.3791
O  0.2716  0.5564  0.9317
O  0.2734  0.1991  0.9358
O  0.2864  0.2142  0.4288
O  0.2857  0.8783  0.9270
O  0.2882  0.0568  0.7005
O  0.2882  0.3861  0.6783
O  0.2912  0.7052  0.6944
O  0.2908  0.8823  0.4291
O  0.2983  0.0561  0.2022
O  0.3021  0.5532  0.4452
O  0.3032  0.7080  0.2059
O  0.3071  0.3856  0.2030
O  0.7292  0.4587  0.5569
O  0.7314  0.1304  0.5515
O  0.7334  0.6323  0.7954
O  0.7351  0.1295  0.0510
O  0.7364  0.7784  0.0447
O  0.7370  0.7827  0.5550
O  0.7366  0.9550  0.8212
O  0.7447  0.4572  0.0704
O  0.7468  0.9574  0.3258
O  0.7487  0.2923  0.3259
O  0.7510  0.6268  0.3268
O  0.7530  0.2819  0.8181

Main lines, most intense first (10 to 80 degrees two-theta):
2θ/deg, I/Imax
18.4, 100
44.2, 54
42.3, 30
62.7, 15
35.1, 14
36.3, 13
36.4, 12
10.7, 11
58.2, 9
63.1, 8
62.9, 7
64.7, 7

Record 7
# Li7Mn2Co3O12
Simulated X-ray powder pattern, Cu Kα (λ = 1.5418 Å). Input: a GGA+U-relaxed structure.
Lines closer than 0.1° are merged.

Atomic structure:
Cell lengths 8.2829, 2.9131, 9.8041 Å; angles 90.00, 114.40, 90.00 degrees
Atoms (fractional coordinates):
Li  0.0000  0.0000  0.0000
Li  0.0081  0.5000  0.4986
Li  0.1653  0.0000  0.3290
Li  0.3174  0.5000  0.1662
Li  0.5046  0.0000  0.9937
Li  0.6915  0.5000  0.8429
Li  0.8445  0.0000  0.6869
Mn  0.1637  0.5000  0.8388
Mn  0.6705  0.0000  0.3320
Co  0.3466  0.0000  0.6739
Co  0.4993  0.5000  0.5033
Co  0.8561  0.5000  0.1607
O  0.0785  0.5000  0.1757
O  0.1018  0.0000  0.6869
O  0.2464  0.0000  0.9822
O  0.2700  0.5000  0.5102
O  0.4043  0.5000  0.8281
O  0.4399  0.0000  0.3407
O  0.5839  0.0000  0.6578
O  0.6021  0.5000  0.1894
O  0.7375  0.5000  0.4807
O  0.7554  0.0000  0.0156
O  0.9009  0.0000  0.3307
O  0.9404  0.5000  0.8348

Main lines, most intense first (10 to 80 degrees two-theta):
2θ/deg, I/Imax
18.3, 100
43.5, 57
36.0, 39
43.7, 27
63.1, 15
63.6, 14
11.8, 13
57.2, 10
67.0, 9
47.8, 8
63.9, 8
62.4, 8

Record 8
# Li4MnCo2O7
Simulated X-ray powder pattern, Cu Kα (λ = 1.5418 Å). Input: a GGA+U-relaxed structure.
Lines closer than 0.1° are merged.

Atomic structure:
Cell lengths 2.9559, 9.7275, 9.7539 Å; angles 115.78, 92.88, 96.84 degrees
Atoms (fractional coordinates):
Li  0.0000  0.0000  0.0000
Li  0.0461  0.1349  0.7970
Li  0.1161  0.2780  0.5778
Li  0.2857  0.5742  0.1542
Li  0.4354  0.8716  0.7290
Li  0.5565  0.1387  0.2967
Li  0.7080  0.4200  0.8598
Li  0.8537  0.7151  0.4394
Mn  0.6313  0.2801  0.0731
Mn  0.7843  0.5689  0.6469
Co  0.2254  0.4288  0.3619
Co  0.3504  0.7166  0.9415
Co  0.4860  0.0039  0.5187
Co  0.9349  0.8589  0.2262
O  0.0424  0.0573  0.3963
O  0.1261  0.2309  0.1826
O  0.1503  0.3503  0.9880
O  0.2105  0.5052  0.7618
O  0.3505  0.6288  0.5368
O  0.3607  0.8051  0.3390
O  0.5138  0.9180  0.1164
O  0.5304  0.0852  0.9159
O  0.5871  0.1940  0.6634
O  0.7147  0.3688  0.4591
O  0.7353  0.4846  0.2627
O  0.8350  0.6583  0.0541
O  0.8750  0.7722  0.8284
O  0.9209  0.9328  0.6059

Main lines, most intense first (10 to 80 degrees two-theta):
2θ/deg, I/Imax
18.4, 100
42.0, 31
44.3, 27
44.7, 25
10.2, 18
35.0, 16
63.0, 15
36.6, 12
36.7, 11
65.4, 11
62.5, 8
63.1, 7

Record 9
# Li3MnCoO5
Simulated X-ray powder pattern, Cu Kα (λ = 1.5418 Å). Input: a GGA+U-relaxed structure.
Lines closer than 0.1° are merged.

Atomic structure:
Cell lengths 5.1330, 5.1330, 12.9482 Å; angles 101.75, 101.75, 32.73 degrees
Atoms (fractional coordinates):
Li  0.0000  0.0000  0.0000
Li  0.1942  0.1942  0.4163
Li  0.4103  0.4103  0.7976
Li  0.5060  0.5060  0.5054
Li  0.6055  0.6055  0.2146
Li  0.8005  0.8005  0.5923
Mn  0.1075  0.1075  0.6967
Mn  0.3042  0.3042  0.1055
Co  0.7040  0.7040  0.9014
Co  0.8994  0.8994  0.3235
O  0.0635  0.0635  0.8481
O  0.1542  0.1542  0.5678
O  0.2634  0.2634  0.2428
O  0.3457  0.3457  0.9613
O  0.4766  0.4766  0.6602
O  0.5363  0.5363  0.3482
O  0.6697  0.6697  0.0575
O  0.7423  0.7423  0.7522
O  0.8454  0.8454  0.4458
O  0.9346  0.9346  0.1464

Main lines, most intense first (10 to 80 degrees two-theta):
2θ/deg, I/Imax
18.3, 100
43.7, 59
43.0, 28
36.2, 26
62.9, 14
63.1, 14
35.5, 12
21.1, 11
57.5, 9
64.4, 8
62.7, 8
18.4, 7